[1]
TbPm4NdDy2: theoretical powder XRD pattern (Cu Kα (weighted mean of Kα1 and Kα2)), based on a crystal structure in Alexandria, relaxed with GGA-PBE.
Neutral-atom scattering factors, no anomalous dispersion.

Atomic structure:
a = 13.7496 Å, b = 13.3087 Å, c = 6.8779 Å
α = 90.00°, β = 119.97°, γ = 90.00°
Space group C2/c (No. 15)
Unique sites:
1 Tb 0.0000 0.0000 0.0000
2 Pm 0.9998 0.2506 0.0004
3 Pm 0.2504 0.0019 0.0340
4 Nd 0.2500 0.2500 0.5000
5 Dy 0.0000 0.5000 0.0000
6 Dy 0.2500 0.2500 0.0000

Principal peaks in the range 15° ≤ 2θ ≤ 90°, by angle:
two_theta, I_rel
26.8, 46
30.0, 100
40.7, 88
53.3, 19
60.6, 26
62.4, 12
64.1, 23
69.1, 17
80.3, 12
88.0, 9


[2]
Li2CuIrF6: theoretical powder XRD pattern (Cu Kα (weighted mean of Kα1 and Kα2)), based on a crystal structure in Alexandria, relaxed with GGA-PBE.
Neutral-atom scattering factors, no anomalous dispersion.

Atomic structure:
a = 8.2350 Å, b = 8.2350 Å, c = 8.2350 Å
α = 90.00°, β = 90.00°, γ = 90.00°
Space group Fm-3m (No. 225)
Unique sites:
1 Li 0.2500 0.2500 0.2500
2 Cu 0.0000 0.0000 0.0000
3 Ir 0.0000 0.0000 0.5000
4 F 0.0000 0.0000 0.2507

Principal peaks in the range 15° ≤ 2θ ≤ 90°, by angle:
two_theta, I_rel
18.7, 31
21.6, 100
30.7, 52
36.2, 18
44.0, 27
49.5, 42
54.6, 21
64.0, 16
68.3, 19
88.9, 12


[3]
Ho3TlRu: theoretical powder XRD pattern (Cu Kα (weighted mean of Kα1 and Kα2)), based on a crystal structure in Alexandria, relaxed with GGA-PBE.
Neutral-atom scattering factors, no anomalous dispersion.

Atomic structure:
a = 6.5403 Å, b = 9.6463 Å, c = 16.2942 Å
α = 90.00°, β = 90.00°, γ = 90.00°
Space group Fmmm (No. 69)
Unique sites:
1 Ho 0.0000 0.0000 0.1996
2 Ho 0.0000 0.1881 0.3855
3 Tl 0.2173 0.0000 0.0000
4 Ru 0.2500 0.2500 0.2500

Principal peaks in the range 15° ≤ 2θ ≤ 90°, by angle:
two_theta, I_rel
28.7, 53
31.5, 62
32.1, 58
34.9, 94
35.2, 100
37.3, 22
38.0, 37
53.5, 24
56.5, 27
57.3, 33


[4]
CeZn2I6: theoretical powder XRD pattern (Cu Kα (weighted mean of Kα1 and Kα2)), based on a crystal structure in Alexandria, relaxed with GGA-PBE.
Neutral-atom scattering factors, no anomalous dispersion.

Atomic structure:
a = 7.8518 Å, b = 7.8518 Å, c = 23.7290 Å
α = 90.00°, β = 90.00°, γ = 120.00°
Space group R3 (No. 146, hexagonal axes)
Unique sites:
1 Ce 0.0000 0.0000 0.0000
2 Zn 0.0000 0.0000 0.2801
3 Zn 0.0000 0.0000 0.3861
4 I 0.0071 0.3611 0.7496
5 I 0.0077 0.6455 0.5834

Principal peaks in the range 15° ≤ 2θ ≤ 90°, by angle:
two_theta, I_rel
15.0, 10
22.5, 23
25.3, 100
32.1, 24
39.8, 32
41.2, 24
46.2, 16
47.7, 15
62.3, 10
63.8, 11